(1)
For BiC6N9, a crystal structure in the Materials Project, relaxed with GGA-PBE gives the computed powder diffraction line list in this record (Cu Kα X-rays).
Kinematic intensities with the Lorentz-polarization factor, no thermal factor.

Principal peaks in the range 2θ = 10–90°, by angle:
2theta, intensity
14.46, 34
15.78, 100
16.09, 26
21.10, 14
21.70, 15
25.98, 30
27.87, 33
28.26, 14
29.59, 16
31.87, 15

Structure:
abc: 7.2370 7.2370 11.0192
angles: 90.00 90.00 115.61
Positions (direct):
Bi 0.2138 0.7862 0.7500
Bi 0.7862 0.2138 0.2500
C 0.0516 0.2451 0.7500
C 0.2071 0.4948 0.0668
C 0.2071 0.4948 0.4332
C 0.2451 0.0516 0.2500
C 0.4948 0.2071 0.5668
C 0.4948 0.2071 0.9332
C 0.5052 0.7929 0.0668
C 0.5052 0.7929 0.4332
C 0.7549 0.9484 0.7500
C 0.7929 0.5052 0.5668
C 0.7929 0.5052 0.9332
C 0.9484 0.7549 0.2500
N 0.0478 0.9522 0.2500
N 0.0705 0.3449 0.1039
N 0.0705 0.3449 0.3961
N 0.1570 0.4232 0.7500
N 0.3449 0.0705 0.6039
N 0.3449 0.0705 0.8961
N 0.3481 0.6519 0.0144
N 0.3481 0.6519 0.4856
N 0.4232 0.1570 0.2500
N 0.5768 0.8430 0.7500
N 0.6519 0.3481 0.5144
N 0.6519 0.3481 0.9856
N 0.6551 0.9295 0.1039
N 0.6551 0.9295 0.3961
N 0.8430 0.5768 0.2500
N 0.9295 0.6551 0.6039
N 0.9295 0.6551 0.8961
N 0.9522 0.0478 0.7500

(2)
For Ni3GeC, a crystal structure in the Materials Project, relaxed with GGA-PBE gives the computed powder diffraction line list in this record (Cu Kα X-rays).
Kinematic intensities with the Lorentz-polarization factor, no thermal factor.

Principal peaks in the range 2θ = 10–90°, by angle:
2theta, intensity
33.27, 2
41.05, 100
47.76, 55
59.45, 1
69.85, 32
84.34, 33
89.04, 11

Structure:
abc: 3.8087 3.8087 3.8087
angles: 90.00 90.00 90.00
Positions (direct):
Ni 0.0000 0.0000 0.5000
Ni 0.0000 0.5000 0.0000
Ni 0.5000 0.0000 0.0000
Ge 0.5000 0.5000 0.5000
C 0.0000 0.0000 0.0000